This entry pairs a crystal structure of HoInTe3Au with its theoretical PXRD pattern. Radiation: Cu Kα X-rays. Structure: a structure optimized by DFT (PBE).
Neutral-atom scattering factors, no anomalous dispersion.

Top 10 peaks for 2θ from 15° to 90°, low angle first:
d [Å]	I_rel
3.330	10
3.084	43
2.779	100
2.426	10
2.307	12
2.244	24
2.093	11
2.073	19
1.827	13
1.661	11

Crystal structure
Cell: 7.8869 7.8869 11.1114 Å, 90.00 90.00 149.52°
Atoms (fractional coordinates):
Ho 0.0000 0.0000 0.0000
Ho 0.0000 0.0000 0.5000
In 0.2339 0.7661 0.7500
In 0.7661 0.2339 0.2500
Te 0.0931 0.9069 0.2500
Te 0.3554 0.6446 0.0555
Te 0.3554 0.6446 0.4445
Te 0.6446 0.3554 0.5555
Te 0.6446 0.3554 0.9445
Te 0.9069 0.0931 0.7500
Au 0.4710 0.5290 0.2500
Au 0.5290 0.4710 0.7500